Entry 1:
Simulated powder XRD pattern
Compound: Hf3Nb2Sb4
Radiation: copper Kα
Structure: a cell relaxed with GGA-PBE

Cell and atoms:
```
data_Hf3Nb2Sb4
_chemical_formula_sum 'Hf6 Nb4 Sb8'
_cell_length_a 9.120
_cell_length_b 5.006
_cell_length_c 9.054
_cell_angle_alpha 90.00
_cell_angle_beta 106.88
_cell_angle_gamma 90.00
_space_group_name_H-M_alt 'C 1 2/m 1'
_space_group_IT_number 12
_space_group_name_Hall '-C 2y'
loop_
_atom_site_label
_atom_site_fract_x
_atom_site_fract_y
_atom_site_fract_z
Hf1 0.000 0.000 0.000
Hf2 0.166 0.500 0.740
Nb1 0.202 0.500 0.409
Sb1 0.026 0.000 0.337
Sb2 0.186 0.500 0.079
```

Top 6 peaks for 5 to 70 degrees two-theta, low angle first:
31.81 deg, 2.814 Å, intensity 47
35.70 deg, 2.515 Å, intensity 100
35.88 deg, 2.503 Å, intensity 57
39.91 deg, 2.259 Å, intensity 67
41.26 deg, 2.188 Å, intensity 26
48.69 deg, 1.870 Å, intensity 28

Entry 2:
Simulated powder XRD pattern
Compound: Tb2NdSmMg
Radiation: copper Kα
Structure: a cell relaxed with GGA-PBE

Cell and atoms:
```
data_Tb2NdSmMg
_chemical_formula_sum 'Tb8 Nd4 Sm4 Mg4'
_cell_length_a 11.222
_cell_length_b 4.970
_cell_length_c 11.214
_cell_angle_alpha 90.00
_cell_angle_beta 90.04
_cell_angle_gamma 90.00
_space_group_name_H-M_alt 'C 1 2/m 1'
_space_group_IT_number 12
_space_group_name_Hall '-C 2y'
loop_
_atom_site_label
_atom_site_fract_x
_atom_site_fract_y
_atom_site_fract_z
Tb1 0.148 0.000 0.048
Tb2 0.154 0.500 0.553
Nd1 0.047 0.000 0.348
Sm1 0.247 0.500 0.245
Mg1 0.054 0.500 0.860
```

Top 6 peaks for 5 to 70 degrees two-theta, low angle first:
30.97 deg, 2.887 Å, intensity 100
35.80 deg, 2.508 Å, intensity 34
36.14 deg, 2.485 Å, intensity 16
51.78 deg, 1.765 Å, intensity 24
61.34 deg, 1.511 Å, intensity 28
61.80 deg, 1.501 Å, intensity 14

Entry 3:
Simulated powder XRD pattern
Compound: Ac2PdSe2O2
Radiation: copper Kα
Structure: a cell relaxed with GGA-PBE

Cell and atoms:
```
data_Ac2PdSe2O2
_chemical_formula_sum 'Ac4 Pd2 Se4 O4'
_cell_length_a 4.336
_cell_length_b 4.336
_cell_length_c 15.520
_cell_angle_alpha 90.00
_cell_angle_beta 90.00
_cell_angle_gamma 90.00
_space_group_name_H-M_alt 'I 4/m m m'
_space_group_IT_number 139
_space_group_name_Hall '-I 4 2'
loop_
_atom_site_label
_atom_site_fract_x
_atom_site_fract_y
_atom_site_fract_z
Ac1 0.000 0.000 0.114
Pd1 0.000 0.000 0.500
Se1 0.000 0.000 0.325
O1 0.000 0.500 0.000
```

Top 6 peaks for 5 to 70 degrees two-theta, low angle first:
22.92 deg, 3.880 Å, intensity 21
29.12 deg, 3.066 Å, intensity 100
35.57 deg, 2.524 Å, intensity 100
37.38 deg, 2.406 Å, intensity 36
41.66 deg, 2.168 Å, intensity 46
55.90 deg, 1.645 Å, intensity 55

Entry 4:
Simulated powder XRD pattern
Compound: CeCdAs2Pd5
Radiation: copper Kα
Structure: a cell relaxed with GGA-PBE

Cell and atoms:
```
data_CeCdAs2Pd5
_chemical_formula_sum 'Ce1 Cd1 As2 Pd5'
_cell_length_a 4.667
_cell_length_b 4.667
_cell_length_c 7.832
_cell_angle_alpha 90.00
_cell_angle_beta 90.00
_cell_angle_gamma 90.00
_space_group_name_H-M_alt 'P 4/m m m'
_space_group_IT_number 123
_space_group_name_Hall '-P 4 2'
loop_
_atom_site_label
_atom_site_fract_x
_atom_site_fract_y
_atom_site_fract_z
Ce1 0.000 0.000 0.000
Cd1 0.000 0.000 0.500
As1 0.500 0.500 0.337
Pd1 0.000 0.500 0.235
Pd2 0.500 0.500 0.000
```

Top 6 peaks for 5 to 70 degrees two-theta, low angle first:
35.57 deg, 2.524 Å, intensity 100
38.58 deg, 2.334 Å, intensity 70
44.24 deg, 2.047 Å, intensity 18
55.70 deg, 1.650 Å, intensity 24
61.86 deg, 1.500 Å, intensity 17
67.86 deg, 1.381 Å, intensity 29